Structure and simulated powder X-ray diffraction pattern of K2LiMn2O4 (a DFT-relaxed cell (PBE+U, the Materials Project); Cu Kα (weighted mean of Kα1 and Kα2)).

The 10 most intense peaks (10° ≤ 2θ ≤ 80°), in order of falling intensity:
2θ (°)	I/Imax
32.02	100
32.71	92
20.24	71
32.99	61
32.50	46
19.79	42
33.41	38
31.63	36
31.08	34
26.90	32

Unit cell a=6.4634 b=6.4634 c=6.6518 alpha=93.18 beta=93.18 gamma=94.13
Fractional coordinates of all 18 atoms:
1 K 0.0000 0.0000 0.0000
2 K 0.4738 0.0363 0.7402
3 K 0.9584 0.0416 0.5000
4 K 0.9637 0.5262 0.2598
5 Li 0.3321 0.6679 0.5000
6 Li 0.6207 0.3793 0.0000
7 Mn 0.1562 0.4456 0.7855
8 Mn 0.3876 0.2338 0.2849
9 Mn 0.5544 0.8438 0.2145
10 Mn 0.7662 0.6124 0.7151
11 O 0.0931 0.7092 0.6971
12 O 0.2814 0.3639 0.5338
13 O 0.2908 0.9069 0.3029
14 O 0.3028 0.3164 0.9941
15 O 0.6361 0.7186 0.4662
16 O 0.6639 0.1337 0.1900
17 O 0.6836 0.6972 0.0059
18 O 0.8663 0.3361 0.8100